Record 1
Diffraction record for Ba3CaLa2Cu6O13. The X-ray powder pattern is theoretical, not measured: it uses the GGA-PBE geometry in the Materials Project and a wavelength of 1.5418 Å.

Cell and atoms:
Lattice parameters (Å, degrees): 5.574 5.574 12.450 102.48 102.48 90.98
Element x y z (fractional)
Ba1 0.000 0.000 0.000
Ba2 0.185 0.185 0.369
Ba3 0.516 0.516 0.004
Ca1 0.687 0.687 0.395
La1 0.349 0.349 0.683
La2 0.850 0.850 0.685
Cu1 0.095 0.616 0.193
Cu2 0.272 0.771 0.530
Cu3 0.423 0.925 0.834
Cu4 0.616 0.095 0.193
Cu5 0.771 0.272 0.530
Cu6 0.925 0.423 0.834
O1 0.020 0.020 0.541
O2 0.029 0.534 0.549
O3 0.043 0.504 0.040
O4 0.165 0.165 0.815
O5 0.166 0.664 0.816
O6 0.248 0.666 0.342
O7 0.504 0.043 0.040
O8 0.534 0.029 0.549
O9 0.538 0.538 0.552
O10 0.664 0.166 0.816
O11 0.666 0.248 0.342
O12 0.666 0.666 0.820
O13 0.837 0.837 0.203

The 8 most intense peaks (10 to 90 degrees two-theta), most intense first:
- 32.13 deg, intensity 100
- 31.95 deg, intensity 64
- 32.33 deg, intensity 32
- 57.05 deg, intensity 23
- 57.36 deg, intensity 22
- 45.65 deg, intensity 19
- 46.48 deg, intensity 19
- 67.20 deg, intensity 15



Record 2
Diffraction record for BaCa3Cu2N4. The X-ray powder pattern is theoretical, not measured: it uses the GGA-PBE geometry in the Materials Project and a wavelength of 1.5418 Å.

Cell and atoms:
Lattice parameters (Å, degrees): 12.496 8.208 8.383 90.00 90.00 90.00
Element x y z (fractional)
Ba1 0.102 0.222 0.000
Ba2 0.398 0.722 0.500
Ba3 0.602 0.278 0.000
Ba4 0.898 0.778 0.500
Ca1 0.164 0.623 0.177
Ca2 0.165 0.101 0.393
Ca3 0.171 0.427 0.620
Ca4 0.329 0.927 0.120
Ca5 0.335 0.601 0.893
Ca6 0.336 0.123 0.677
Ca7 0.664 0.877 0.177
Ca8 0.665 0.399 0.393
Ca9 0.671 0.073 0.620
Ca10 0.829 0.573 0.120
Ca11 0.835 0.899 0.893
Ca12 0.836 0.377 0.677
Cu1 0.003 0.107 0.671
Cu2 0.013 0.587 0.861
Cu3 0.487 0.087 0.361
Cu4 0.497 0.607 0.171
Cu5 0.503 0.393 0.671
Cu6 0.513 0.913 0.861
Cu7 0.987 0.413 0.361
Cu8 0.997 0.893 0.171
N1 0.126 0.380 0.326
N2 0.140 0.927 0.171
N3 0.145 0.152 0.677
N4 0.150 0.535 0.899
N5 0.350 0.035 0.399
N6 0.355 0.652 0.177
N7 0.360 0.427 0.671
N8 0.374 0.880 0.826
N9 0.626 0.120 0.326
N10 0.640 0.573 0.171
N11 0.645 0.348 0.677
N12 0.650 0.965 0.899
N13 0.850 0.465 0.399
N14 0.855 0.848 0.177
N15 0.860 0.073 0.671
N16 0.874 0.620 0.826

The 8 most intense peaks (10 to 90 degrees two-theta), most intense first:
- 17.84 deg, intensity 100
- 32.45 deg, intensity 84
- 33.89 deg, intensity 79
- 34.48 deg, intensity 75
- 32.20 deg, intensity 63
- 27.84 deg, intensity 61
- 17.70 deg, intensity 49
- 28.11 deg, intensity 48



Record 3
Diffraction record for BaCa2Cu3O5. The X-ray powder pattern is theoretical, not measured: it uses the GGA-PBE geometry in the Materials Project and a wavelength of 1.5418 Å.

Cell and atoms:
Lattice parameters (Å, degrees): 3.947 3.947 20.916 90.00 90.00 90.00
Element x y z (fractional)
Ba1 0.000 0.000 0.112
Ba2 0.000 0.000 0.888
Ca1 0.000 0.000 0.276
Ca2 0.000 0.000 0.425
Ca3 0.000 0.000 0.575
Ca4 0.000 0.000 0.724
Cu1 0.500 0.500 0.000
Cu2 0.500 0.500 0.199
Cu3 0.500 0.500 0.349
Cu4 0.500 0.500 0.500
Cu5 0.500 0.500 0.651
Cu6 0.500 0.500 0.801
O1 0.000 0.500 0.194
O2 0.000 0.500 0.347
O3 0.000 0.500 0.500
O4 0.000 0.500 0.653
O5 0.000 0.500 0.806
O6 0.500 0.000 0.194
O7 0.500 0.000 0.347
O8 0.500 0.000 0.500
O9 0.500 0.000 0.653
O10 0.500 0.000 0.806

The 8 most intense peaks (10 to 90 degrees two-theta), most intense first:
- 34.32 deg, intensity 100
- 32.07 deg, intensity 88
- 45.98 deg, intensity 68
- 31.15 deg, intensity 59
- 37.76 deg, intensity 50
- 58.62 deg, intensity 41
- 28.33 deg, intensity 40
- 76.33 deg, intensity 32



Record 4
Diffraction record for Ba3CaCuSi6O17. The X-ray powder pattern is theoretical, not measured: it uses the GGA-PBE geometry in the Materials Project and a wavelength of 1.5418 Å.

Cell and atoms:
Lattice parameters (Å, degrees): 16.297 8.136 8.136 52.38 90.00 90.00
Element x y z (fractional)
Ba1 0.114 0.241 0.759
Ba2 0.250 0.723 0.784
Ba3 0.386 0.241 0.759
Ba4 0.614 0.759 0.241
Ba5 0.750 0.784 0.723
Ba6 0.886 0.759 0.241
Ca1 0.000 0.745 0.745
Ca2 0.500 0.745 0.745
Cu1 0.000 0.222 0.222
Cu2 0.500 0.222 0.222
Si1 0.090 0.610 0.140
Si2 0.095 0.805 0.371
Si3 0.250 0.090 0.164
Si4 0.250 0.312 0.352
Si5 0.405 0.805 0.371
Si6 0.410 0.610 0.140
Si7 0.590 0.140 0.610
Si8 0.595 0.371 0.805
Si9 0.750 0.164 0.090
Si10 0.750 0.352 0.312
Si11 0.905 0.371 0.805
Si12 0.910 0.140 0.610
O1 0.007 0.510 0.120
O2 0.010 0.934 0.320
O3 0.075 0.630 0.330
O4 0.109 0.826 0.915
O5 0.121 0.679 0.610
O6 0.167 0.955 0.198
O7 0.170 0.451 0.214
O8 0.250 0.106 0.356
O9 0.250 0.229 0.587
O10 0.250 0.302 0.933
O11 0.330 0.451 0.214
O12 0.333 0.955 0.198
O13 0.379 0.679 0.610
O14 0.391 0.826 0.915
O15 0.425 0.630 0.330
O16 0.490 0.934 0.320
O17 0.493 0.510 0.120
O18 0.507 0.120 0.510
O19 0.510 0.320 0.934
O20 0.575 0.330 0.630
O21 0.609 0.915 0.826
O22 0.621 0.610 0.679
O23 0.667 0.198 0.955
O24 0.670 0.214 0.451
O25 0.750 0.356 0.106
O26 0.750 0.587 0.229
O27 0.750 0.933 0.302
O28 0.830 0.214 0.451
O29 0.833 0.198 0.955
O30 0.879 0.610 0.679
O31 0.891 0.915 0.826
O32 0.925 0.330 0.630
O33 0.990 0.320 0.934
O34 0.993 0.120 0.510

The 8 most intense peaks (10 to 90 degrees two-theta), most intense first:
- 25.03 deg, intensity 100
- 27.69 deg, intensity 71
- 41.67 deg, intensity 40
- 22.73 deg, intensity 37
- 33.26 deg, intensity 35
- 27.56 deg, intensity 35
- 37.13 deg, intensity 24
- 24.65 deg, intensity 22



Record 5
Diffraction record for BaSrCa2TlCu3O9. The X-ray powder pattern is theoretical, not measured: it uses the GGA-PBE geometry in the Materials Project and a wavelength of 1.5418 Å.

Cell and atoms:
Lattice parameters (Å, degrees): 3.845 3.828 15.791 90.00 90.14 90.00
Element x y z (fractional)
Ba1 0.000 0.000 0.000
Sr1 0.999 0.000 0.333
Ca1 0.989 0.000 0.556
Ca2 0.989 0.000 0.767
Tl1 0.566 0.500 0.170
Cu1 0.488 0.500 0.663
Cu2 0.492 0.500 0.448
Cu3 0.492 0.500 0.870
O1 0.488 0.000 0.661
O2 0.488 0.500 0.304
O3 0.490 0.000 0.461
O4 0.491 0.000 0.859
O5 0.495 0.500 0.037
O6 0.929 0.000 0.174
O7 0.988 0.500 0.661
O8 0.992 0.500 0.460
O9 0.992 0.500 0.860

The 8 most intense peaks (10 to 90 degrees two-theta), most intense first:
- 33.02 deg, intensity 100
- 32.58 deg, intensity 58
- 32.50 deg, intensity 56
- 28.84 deg, intensity 44
- 28.75 deg, intensity 44
- 47.51 deg, intensity 30
- 34.07 deg, intensity 28
- 47.28 deg, intensity 26



Record 6
Diffraction record for Ba2Ca2TbTi3Cu2O14. The X-ray powder pattern is theoretical, not measured: it uses the GGA-PBE geometry in the Materials Project and a wavelength of 1.5418 Å.

Cell and atoms:
Lattice parameters (Å, degrees): 3.913 3.913 19.692 90.00 90.00 90.00
Element x y z (fractional)
Ba1 0.000 0.000 0.193
Ba2 0.000 0.000 0.807
Ca1 0.000 0.000 0.398
Ca2 0.000 0.000 0.602
Tb1 0.000 0.000 0.000
Ti1 0.500 0.500 0.301
Ti2 0.500 0.500 0.500
Ti3 0.500 0.500 0.699
Cu1 0.500 0.500 0.087
Cu2 0.500 0.500 0.913
O1 0.000 0.500 0.071
O2 0.000 0.500 0.306
O3 0.000 0.500 0.500
O4 0.000 0.500 0.694
O5 0.000 0.500 0.929
O6 0.500 0.000 0.071
O7 0.500 0.000 0.306
O8 0.500 0.000 0.500
O9 0.500 0.000 0.694
O10 0.500 0.000 0.929
O11 0.500 0.500 0.202
O12 0.500 0.500 0.402
O13 0.500 0.500 0.598
O14 0.500 0.500 0.798

The 8 most intense peaks (10 to 90 degrees two-theta), most intense first:
- 32.25 deg, intensity 100
- 32.35 deg, intensity 47
- 57.64 deg, intensity 37
- 46.41 deg, intensity 36
- 39.81 deg, intensity 21
- 57.43 deg, intensity 19
- 77.04 deg, intensity 15
- 67.48 deg, intensity 15



Record 7
Diffraction record for Ba2CaTb2Ti3Cu2O14. The X-ray powder pattern is theoretical, not measured: it uses the GGA-PBE geometry in the Materials Project and a wavelength of 1.5418 Å.

Cell and atoms:
Lattice parameters (Å, degrees): 3.905 3.905 19.879 90.00 90.00 90.00
Element x y z (fractional)
Ba1 0.000 0.000 0.000
Ba2 0.000 0.000 0.371
Ca1 0.000 0.000 0.798
Tb1 0.000 0.000 0.187
Tb2 0.000 0.000 0.588
Ti1 0.500 0.500 0.488
Ti2 0.500 0.500 0.688
Ti3 0.500 0.500 0.888
Cu1 0.500 0.500 0.105
Cu2 0.500 0.500 0.268
O1 0.000 0.500 0.115
O2 0.000 0.500 0.260
O3 0.000 0.500 0.500
O4 0.000 0.500 0.677
O5 0.000 0.500 0.878
O6 0.500 0.000 0.115
O7 0.500 0.000 0.260
O8 0.500 0.000 0.500
O9 0.500 0.000 0.677
O10 0.500 0.000 0.878
O11 0.500 0.500 0.394
O12 0.500 0.500 0.589
O13 0.500 0.500 0.782
O14 0.500 0.500 0.982

The 8 most intense peaks (10 to 90 degrees two-theta), most intense first:
- 32.13 deg, intensity 100
- 32.42 deg, intensity 51
- 57.65 deg, intensity 37
- 46.51 deg, intensity 35
- 39.74 deg, intensity 26
- 57.09 deg, intensity 15
- 22.77 deg, intensity 13
- 67.20 deg, intensity 12



Record 8
Diffraction record for Ba2Ca4TlCu5O13. The X-ray powder pattern is theoretical, not measured: it uses the GGA-PBE geometry in the Materials Project and a wavelength of 1.5418 Å.

Cell and atoms:
Lattice parameters (Å, degrees): 3.838 22.670 3.853 90.00 90.00 90.00
Element x y z (fractional)
Ba1 0.000 0.118 0.000
Ba2 0.000 0.882 0.000
Ca1 0.000 0.280 0.010
Ca2 0.000 0.427 0.011
Ca3 0.000 0.573 0.011
Ca4 0.000 0.720 0.010
Tl1 0.500 0.000 0.427
Cu1 0.500 0.208 0.508
Cu2 0.500 0.355 0.511
Cu3 0.500 0.500 0.511
Cu4 0.500 0.645 0.511
Cu5 0.500 0.792 0.508
O1 0.000 0.000 0.074
O2 0.000 0.218 0.509
O3 0.000 0.358 0.511
O4 0.000 0.500 0.511
O5 0.000 0.642 0.511
O6 0.000 0.782 0.509
O7 0.500 0.093 0.508
O8 0.500 0.217 0.008
O9 0.500 0.358 0.011
O10 0.500 0.500 0.011
O11 0.500 0.642 0.011
O12 0.500 0.783 0.008
O13 0.500 0.907 0.508

The 8 most intense peaks (10 to 90 degrees two-theta), most intense first:
- 32.94 deg, intensity 100
- 33.23 deg, intensity 90
- 30.48 deg, intensity 75
- 28.04 deg, intensity 66
- 36.26 deg, intensity 50
- 47.38 deg, intensity 37
- 26.00 deg, intensity 36
- 47.18 deg, intensity 30



Record 9
Diffraction record for Ba2CaTl2Cu4O12. The X-ray powder pattern is theoretical, not measured: it uses the GGA-PBE geometry in the Materials Project and a wavelength of 1.5418 Å.

Cell and atoms:
Lattice parameters (Å, degrees): 22.935 22.935 22.935 170.59 170.59 13.32
Element x y z (fractional)
Ba1 0.155 0.155 0.000
Ba2 0.845 0.845 0.000
Ca1 0.000 0.000 0.000
Tl1 0.277 0.277 0.000
Tl2 0.723 0.723 0.000
Cu1 0.396 0.396 0.000
Cu2 0.458 0.458 0.000
Cu3 0.542 0.542 0.000
Cu4 0.604 0.604 0.000
O1 0.033 0.533 0.500
O2 0.113 0.613 0.500
O3 0.250 0.750 0.500
O4 0.323 0.323 0.000
O5 0.387 0.887 0.500
O6 0.467 0.967 0.500
O7 0.533 0.033 0.500
O8 0.613 0.113 0.500
O9 0.677 0.677 0.000
O10 0.750 0.250 0.500
O11 0.887 0.387 0.500
O12 0.967 0.467 0.500

The 8 most intense peaks (10 to 90 degrees two-theta), most intense first:
- 27.39 deg, intensity 100
- 29.59 deg, intensity 53
- 33.70 deg, intensity 43
- 48.40 deg, intensity 29
- 56.51 deg, intensity 27
- 46.73 deg, intensity 23
- 31.42 deg, intensity 18
- 32.15 deg, intensity 18